The following is a simulated XRD peak list of CeEr3. It was derived from a crystal structure in the Materials Project, relaxed with GGA-PBE, using CuKα.
No peak broadening, texture or thermal motion is included.

Largest 12 diffraction maxima, sorted by position, 10 to 90 degrees two-theta:
| 2theta | intensity |
| --- | --- |
| 31.07 | 1000 |
| 35.98 | 338 |
| 36.14 | 167 |
| 51.79 | 120 |
| 51.92 | 239 |
| 61.64 | 285 |
| 61.86 | 141 |
| 64.78 | 123 |
| 84.64 | 60 |
| 84.83 | 119 |
| 87.40 | 112 |
| 87.74 | 55 |

Unit cell a=6.097 b=6.097 c=6.097 alpha=131.66 beta=131.66 gamma=70.77
Fractional coordinates of all 4 atoms:
Ce 0.000 0.000 0.000
Er 0.250 0.750 0.500
Er 0.500 0.500 0.000
Er 0.750 0.250 0.500